Simulated powder diffractogram of NbVNO for Cu Ka, from a structure optimized by DFT (GGA+U).
Neutral-atom scattering factors, no anomalous dispersion.

Atomic structure:
```
data_NbVNO
_chemical_formula_sum 'Nb3 V3 N3 O3'
_cell_length_a 3.0246
_cell_length_b 3.0246
_cell_length_c 17.7432
_cell_angle_alpha 90.00
_cell_angle_beta 90.00
_cell_angle_gamma 120.00
_space_group_name_H-M_alt 'R 3 m'
_space_group_IT_number 160
_space_group_name_Hall 'R 3 -2"'
loop_
_atom_site_label
_atom_site_type_symbol
_atom_site_fract_x
_atom_site_fract_y
_atom_site_fract_z
_atom_site_occupancy
Nb1 Nb 0.0000 0.0000 0.0000 1
V1 V 0.0000 0.0000 0.4785 1
N1 N 0.0000 0.0000 0.7442 1
O1 O 0.0000 0.0000 0.5936 1
```

Largest 10 diffraction maxima, low angle first, 2θ = 10–90°:
d = 5.914 Å, 15.0°, I = 49, hkl 0 0 3
d = 2.957 Å, 30.2°, I = 33, hkl 0 0 6
d = 2.512 Å, 35.7°, I = 100, hkl 0 1 2
d = 2.256 Å, 40.0°, I = 77, hkl 1 0 4
d = 2.107 Å, 42.9°, I = 16, hkl 0 1 5
d = 1.822 Å, 50.1°, I = 20, hkl 1 0 7
d = 1.693 Å, 54.2°, I = 32, hkl 0 1 8
d = 1.512 Å, 61.3°, I = 30, hkl 1 1 0
d = 1.469 Å, 63.3°, I = 13, hkl 1 0 10
d = 1.346 Å, 69.9°, I = 18, hkl 1 1 6